Entry 1:
Re2Pd2O5: calculated X-ray powder pattern (a wavelength of 1.5418 Å), based on DFT lattice parameters and positions (GGA-PBE).
Peak positions follow from Bragg's law for the DFT cell and can differ from measured ones.

The 10 most intense peaks (15° ≤ 2θ ≤ 90°), by angle:
hkl	2θ (°)	Rel. int.
1 0 0	23.22	11
1 1 0	33.08	49
1 0 2	33.66	100
2 0 0	47.48	27
0 0 4	49.19	10
2 1 2	59.45	40
1 1 4	60.56	15
2 0 4	70.76	13
3 1 0	79.06	8
3 0 2	79.39	9

Structure:
```
data_Re2Pd2O5
_cell_length_a 3.830
_cell_length_b 3.830
_cell_length_c 7.410
_cell_angle_alpha 90.00
_cell_angle_beta 90.00
_cell_angle_gamma 90.00
_symmetry_space_group_name_H-M 'P 1'
_symmetry_Int_Tables_number 1
_symmetry_space_group_name_Hall 'P 1'
loop_
_atom_site_label
_atom_site_type_symbol
_atom_site_fract_x
_atom_site_fract_y
_atom_site_fract_z
Re1 Re 0.000 0.000 0.227
Re2 Re 0.000 0.000 0.773
Pd1 Pd 0.500 0.500 0.000
Pd2 Pd 0.500 0.500 0.500
O1 O 0.000 0.000 0.500
O2 O 0.000 0.500 0.232
O3 O 0.000 0.500 0.768
O4 O 0.500 0.000 0.232
O5 O 0.500 0.000 0.768
```

***

Entry 2:
Ta2Pt3Se8: calculated X-ray powder pattern (a wavelength of 1.5418 Å), based on DFT lattice parameters and positions (GGA-PBE).
Peak positions follow from Bragg's law for the DFT cell and can differ from measured ones.

The 10 most intense peaks (15° ≤ 2θ ≤ 90°), by angle:
hkl	2θ (°)	Rel. int.
2 0 1	29.84	37
2 1 1	30.43	38
0 4 1	34.32	100
1 4 1	35.35	39
3 1 1	35.76	44
3 5 0	38.72	35
5 1 0	42.21	45
4 2 1	43.53	64
1 6 1	44.53	55
0 0 2	50.80	41

Structure:
```
data_Ta2Pt3Se8
_cell_length_a 10.820
_cell_length_b 15.210
_cell_length_c 3.595
_cell_angle_alpha 90.00
_cell_angle_beta 90.00
_cell_angle_gamma 90.00
_symmetry_space_group_name_H-M 'P 1'
_symmetry_Int_Tables_number 1
_symmetry_space_group_name_Hall 'P 1'
loop_
_atom_site_label
_atom_site_type_symbol
_atom_site_fract_x
_atom_site_fract_y
_atom_site_fract_z
Ta1 Ta 0.211 0.119 0.000
Ta2 Ta 0.289 0.619 0.000
Ta3 Ta 0.711 0.381 0.000
Ta4 Ta 0.789 0.881 0.000
Pt1 Pt 0.000 0.000 0.500
Pt2 Pt 0.128 0.717 0.500
Pt3 Pt 0.372 0.217 0.500
Pt4 Pt 0.500 0.500 0.500
Pt5 Pt 0.628 0.783 0.500
Pt6 Pt 0.872 0.283 0.500
Se1 Se 0.041 0.159 0.500
Se2 Se 0.049 0.618 0.000
Se3 Se 0.229 0.993 0.500
Se4 Se 0.247 0.288 0.000
Se5 Se 0.253 0.788 0.000
Se6 Se 0.271 0.493 0.500
Se7 Se 0.451 0.118 0.000
Se8 Se 0.459 0.659 0.500
Se9 Se 0.541 0.341 0.500
Se10 Se 0.549 0.882 0.000
Se11 Se 0.729 0.507 0.500
Se12 Se 0.747 0.212 0.000
Se13 Se 0.753 0.712 0.000
Se14 Se 0.771 0.007 0.500
Se15 Se 0.951 0.382 0.000
Se16 Se 0.959 0.841 0.500
```